For Rb2Mo, a crystal structure in the Materials Project, relaxed with GGA-PBE gives the calculated X-ray powder pattern in this record (Cu Kα (weighted mean of Kα1 and Kα2)).

Atomic structure:
```
data_Rb2Mo
_cell_length_a 13.059
_cell_length_b 6.634
_cell_length_c 8.662
_cell_angle_alpha 90.00
_cell_angle_beta 116.66
_cell_angle_gamma 90.00
_space_group_name_H-M_alt 'C 1 2/m 1'
_space_group_IT_number 12
_space_group_name_Hall '-C 2y'
loop_
_atom_site_label
_atom_site_fract_x
_atom_site_fract_y
_atom_site_fract_z
Rb1 0.075 0.000 0.337
Rb2 0.186 0.500 0.097
Mo1 0.085 0.500 0.574
```

Main lines, by angle (2θ = 10–90°):
2theta  I/Imax
11.43  188
22.83  305
24.49  617
24.70  1000
26.56  128
26.88  487
27.63  131
35.56  207
46.18  178
66.48  134